(1)
TbPu3Cu8: theoretical powder XRD pattern (Cu Ka), based on a PBE-relaxed structure.

Top 12 peaks for 5° ≤ 2θ ≤ 70°, by angle:
hkl 1 0 0, 2θ 19.6, rel. 177; hkl 0 0 2, 2θ 20.9, rel. 141; hkl 1 0 2, 2θ 28.7, rel. 196; hkl 1 1 0, 2θ 34.2, rel. 674; hkl 1 0 3, 2θ 37.4, rel. 854; hkl 2 0 0, 2θ 39.7, rel. 155; hkl 1 1 2, 2θ 40.4, rel. 1000; hkl 0 2 1, 2θ 41.2, rel. 428; hkl 1 0 5, 2θ 57.8, rel. 155; hkl 2 1 3, 2θ 63.3, rel. 378; hkl 0 3 2, 2θ 65.5, rel. 239; hkl 0 2 5, 2θ 68.9, rel. 273

Structural model:
```
data_TbPu3Cu8
_cell_length_a 5.2417
_cell_length_b 5.2417
_cell_length_c 8.5183
_cell_angle_alpha 90.00
_cell_angle_beta 90.00
_cell_angle_gamma 120.00
_symmetry_space_group_name_H-M 'P 3 m 1'
_symmetry_Int_Tables_number 156
loop_
_symmetry_equiv_pos_as_xyz
'x,y,z'
'-y,x-y,z'
'-x+y,-x,z'
'-y,-x,z'
'-x+y,y,z'
'x,x-y,z'
loop_
_atom_site_label
_atom_site_fract_x
_atom_site_fract_y
_atom_site_fract_z
_atom_site_occupancy
Tb1 0.0000 0.0000 0.0000 1
Pu1 0.0000 0.0000 0.3916 1
Pu2 0.6667 0.3333 0.4944 1
Pu3 0.6667 0.3333 0.8753 1
Cu1 0.0025 0.5013 0.1884 1
Cu2 0.1686 0.3372 0.6931 1
Cu3 0.3333 0.6667 0.4414 1
Cu4 0.3333 0.6667 0.9413 1
```


(2)
Na2Cd3Hg7: theoretical powder XRD pattern (Cu Ka), based on a PBE-relaxed structure.

Top 12 peaks for 5° ≤ 2θ ≤ 70°, by angle:
hkl 0 2 0, 2θ 7.0, rel. 290; hkl 1 3 0, 2θ 20.0, rel. 128; hkl 0 4 1, 2θ 22.9, rel. 159; hkl 1 5 1, 2θ 30.6, rel. 185; hkl 2 0 0, 2θ 34.3, rel. 291; hkl 1 7 1, 2θ 35.3, rel. 1000; hkl 0 0 2, 2θ 36.4, rel. 251; hkl 0 12 0, 2θ 43.1, rel. 81; hkl 2 0 2, 2θ 50.9, rel. 191; hkl 3 7 1, 2θ 62.1, rel. 195; hkl 2 14 0, 2θ 62.7, rel. 75; hkl 1 7 3, 2θ 64.9, rel. 171

Structural model:
```
data_Na2Cd3Hg7
_cell_length_a 5.226
_cell_length_b 25.212
_cell_length_c 4.930
_cell_angle_alpha 90.00
_cell_angle_beta 90.00
_cell_angle_gamma 90.00
_symmetry_space_group_name_H-M 'C m m m'
_symmetry_Int_Tables_number 65
_symmetry_space_group_name_Hall '-C 2 2'
loop_
_atom_site_label
_atom_site_fract_x
_atom_site_fract_y
_atom_site_fract_z
_atom_site_occupancy
Na1 0.000 0.153 0.000 1
Cd1 0.000 0.349 0.500 1
Cd2 0.000 0.500 0.500 1
Hg1 0.000 0.000 0.000 1
Hg2 0.000 0.079 0.500 1
Hg3 0.000 0.278 0.000 1
Hg4 0.000 0.424 0.000 1
```


(3)
AcPmGe6: theoretical powder XRD pattern (Cu Ka), based on a PBE-relaxed structure.

Top 12 peaks for 5° ≤ 2θ ≤ 70°, by angle:
hkl 1 0 1, 2θ 23.6, rel. 387; hkl 1 1 0, 2θ 27.9, rel. 148; hkl 2 0 0, 2θ 32.3, rel. 236; hkl 0 0 2, 2θ 34.9, rel. 288; hkl 2 0 1, 2θ 36.9, rel. 1000; hkl 2 1 0, 2θ 43.2, rel. 115; hkl 2 0 2, 2θ 48.3, rel. 153; hkl 2 1 2, 2θ 56.7, rel. 104; hkl 2 2 0, 2θ 57.6, rel. 140; hkl 3 1 1, 2θ 63.1, rel. 113; hkl 2 0 3, 2θ 63.9, rel. 199; hkl 2 2 2, 2θ 69.2, rel. 161

Structural model:
```
data_AcPmGe6
_cell_length_a 6.4010
_cell_length_b 6.4010
_cell_length_c 5.1354
_cell_angle_alpha 90.00
_cell_angle_beta 90.00
_cell_angle_gamma 120.00
_symmetry_space_group_name_H-M 'P -6 m 2'
_symmetry_Int_Tables_number 187
_symmetry_space_group_name_Hall 'P -6 2'
loop_
_atom_site_label
_atom_site_fract_x
_atom_site_fract_y
_atom_site_fract_z
_atom_site_occupancy
Ac1 0.0000 0.0000 0.0000 1
Pm1 0.6667 0.3333 0.5000 1
Ge1 0.0527 0.5264 0.0000 1
Ge2 0.1942 0.3883 0.5000 1
```